# Mo2P2O11
Computed X-ray powder pattern, CuKα. Input: the PBE+U geometry in Alexandria.
Intensities are scaled so that the largest is 100.

Main lines, low angle first (2θ from 10° to 80°):
two_theta	I_rel	(hkl)
16.97	99	0 1 1
20.36	100	0 0 2
23.00	32	1 0 0
23.61	75	1 0 -1
24.55	37	0 1 2
26.69	35	1 0 1
26.80	32	1 1 0
27.33	92	0 2 0
33.75	30	0 1 3
36.42	20	1 2 -1
42.84	21	0 3 1
46.44	23	2 0 -1

Crystal structure
```
Mo2P2O11
1.0
3.9186 0.0000 0.0000
0.0000 6.5267 0.0000
-1.4326 0.0000 8.7225
Mo P O
2 2 11
Cartesian
0.0000 0.0000 0.0000
0.5944 3.2633 4.7315
-0.1627 3.2633 1.1281
0.3501 0.0000 3.8414
-0.2480 0.0000 2.5015
0.2392 1.9430 0.3347
0.2392 4.5836 0.3347
0.3542 3.2633 2.5831
0.6991 1.2110 4.6205
0.6991 5.3156 4.6205
0.4930 3.2633 6.4306
2.1249 0.0000 0.2845
2.2519 3.2633 1.1526
2.4923 3.2633 4.5327
2.5698 0.0000 7.0242
```